(1)
Starting from a structure optimized by DFT (PBE), the powder XRD pattern of Nd4Cd was simulated for copper Kα.
Kinematic intensities with the Lorentz-polarization factor, no thermal factor.

Crystal structure
```
Nd4Cd
1.0
-1.8637 1.8637 11.7767
1.8637 -1.8637 11.7767
1.8637 1.8637 -11.7767
Nd Cd
4 1
direct
0.0875 0.0875 0.0000 Nd
0.3045 0.3045 0.0000 Nd
0.6955 0.6955 0.0000 Nd
0.9125 0.9125 0.0000 Nd
0.5000 0.5000 0.0000 Cd
```

Largest 10 diffraction maxima, by intensity, 2θ from 10° to 80°:
d (Å)	2theta	I/Imax
2.923	30.58	100
2.636	34.02	41
1.571	58.76	31
1.756	52.08	18
1.864	48.87	15
2.355	38.21	11
1.461	63.67	10
1.201	79.84	6
1.447	64.38	6
1.630	56.47	6

(2)
Starting from a structure optimized by DFT (PBE), the powder XRD pattern of Rb2InHg7 was simulated for copper Kα.
Kinematic intensities with the Lorentz-polarization factor, no thermal factor.

Crystal structure
```
Rb2InHg7
1.0
5.1207 0.0000 0.0000
0.0000 5.1207 0.0000
0.0000 0.0000 12.6429
Rb In Hg
2 1 7
direct
0.0000 0.5000 0.2491 Rb
0.5000 0.0000 0.7509 Rb
0.0000 0.0000 0.5000 In
0.0000 0.0000 0.0000 Hg
0.0000 0.5000 0.6267 Hg
0.0000 0.5000 0.8627 Hg
0.5000 0.0000 0.1373 Hg
0.5000 0.0000 0.3733 Hg
0.5000 0.5000 0.0000 Hg
0.5000 0.5000 0.5000 Hg
```

Largest 10 diffraction maxima, by intensity, 2θ from 10° to 80°:
d (Å)	2theta	I/Imax
3.142	28.41	100
2.381	37.78	91
2.560	35.05	90
3.254	27.41	52
4.746	18.70	51
1.441	64.68	38
1.810	50.40	32
2.267	39.76	32
6.321	14.01	30
1.345	69.94	30

Question: Number 2 is which compound?
Answer: Rb2InHg7